# MgTi2Ga4O10
Computed powder diffractogram, Cu Ka. Input: a PBE-relaxed structure.
Kinematic intensities with the Lorentz-polarization factor, no thermal factor.

Peak list (10 most intense, 2θ from 5° to 70°, low angle first)
d 5.162, I = 33; d 3.485, I = 89; d 2.888, I = 41; d 2.863, I = 100; d 2.521, I = 34; d 2.449, I = 38; d 2.308, I = 47; d 1.851, I = 39; d 1.597, I = 41; d 1.555, I = 29

Cell and atoms:
```
MgTi2Ga4O10
1.0
10.3229 0.0000 0.0000
0.0000 1.8511 5.1621
0.0000 -1.8511 5.1621
Mg Ti Ga O
1 2 4 10
Direct
0.0000 0.0000 0.0000
0.0000 0.2995 0.2995
0.5000 0.6883 0.6883
0.2048 0.6363 0.6363
0.3177 0.3755 0.3755
0.6823 0.3755 0.3755
0.7952 0.6363 0.6363
0.0000 0.7946 0.7946
0.1298 0.4504 0.4504
0.1369 0.1552 0.1552
0.3102 0.8017 0.8017
0.3678 0.5513 0.5513
0.5000 0.2682 0.2682
0.6322 0.5513 0.5513
0.6898 0.8017 0.8017
0.8631 0.1552 0.1552
0.8702 0.4504 0.4504
```

---

# Hf3Co
Computed powder diffractogram, Cu Ka. Input: a PBE-relaxed structure.
Kinematic intensities with the Lorentz-polarization factor, no thermal factor.

Peak list (10 most intense, 2θ from 5° to 70°, low angle first)
d 4.773, I = 5; d 3.671, I = 11; d 2.484, I = 4; d 2.423, I = 100; d 2.386, I = 24; d 1.988, I = 28; d 1.748, I = 3; d 1.528, I = 24; d 1.406, I = 9; d 1.385, I = 17

Cell and atoms:
```
Hf3Co
1.0
-1.9884 1.9884 4.7726
1.9884 -1.9884 4.7726
1.9884 1.9884 -4.7726
Hf Co
3 1
Direct
0.0000 0.0000 0.0000
0.2500 0.7500 0.5000
0.7500 0.2500 0.5000
0.5000 0.5000 0.0000
```

---

# Li3Au
Computed powder diffractogram, Cu Ka. Input: a PBE-relaxed structure.
Kinematic intensities with the Lorentz-polarization factor, no thermal factor.

Peak list (8 most intense, 2θ from 5° to 70°, low angle first)
d 3.640, I = 100; d 3.153, I = 53; d 2.229, I = 51; d 1.901, I = 51; d 1.820, I = 15; d 1.576, I = 9; d 1.447, I = 21; d 1.410, I = 20

Cell and atoms:
```
Li3Au
1.0
0.0000 3.1526 3.1526
3.1526 0.0000 3.1526
3.1526 3.1526 0.0000
Li Au
3 1
Direct
0.0000 0.0000 0.0000
0.2500 0.2500 0.2500
0.7500 0.7500 0.7500
0.5000 0.5000 0.5000
```

---

# CdGa2Se4
Computed powder diffractogram, Cu Ka. Input: a PBE-relaxed structure.
Kinematic intensities with the Lorentz-polarization factor, no thermal factor.

Peak list (10 most intense, 2θ from 5° to 70°, low angle first)
d 5.323, I = 10; d 4.947, I = 23; d 3.951, I = 10; d 2.794, I = 100; d 2.662, I = 38; d 2.433, I = 7; d 1.975, I = 36; d 1.927, I = 59; d 1.586, I = 31; d 1.397, I = 11

Cell and atoms:
```
CdGa2Se4
1.0
-2.7936 2.7936 5.3234
2.7936 -2.7936 5.3234
2.7936 2.7936 -5.3234
Cd Ga Se
1 2 4
Direct
0.0000 0.0000 0.0000
0.5000 0.5000 0.0000
0.7500 0.2500 0.5000
0.2691 0.2691 0.0000
0.5189 0.0189 0.5000
0.7309 0.7309 0.0000
0.9811 0.4811 0.5000
```

---

# TmGa6
Computed powder diffractogram, Cu Ka. Input: a PBE-relaxed structure.
Kinematic intensities with the Lorentz-polarization factor, no thermal factor.

Peak list (10 most intense, 2θ from 5° to 70°, low angle first)
d 2.822, I = 35; d 2.794, I = 100; d 2.534, I = 25; d 2.514, I = 13; d 2.352, I = 14; d 2.190, I = 21; d 2.164, I = 43; d 2.127, I = 38; d 1.699, I = 23; d 1.517, I = 11

Cell and atoms:
```
TmGa6
1.0
6.0172 0.0000 0.0000
0.0000 6.0172 0.0000
0.0000 0.0000 7.5421
Tm Ga
2 12
Direct
0.2500 0.7500 0.0000
0.7500 0.2500 0.0000
0.0583 0.5583 0.3471
0.0583 0.9417 0.6529
0.2500 0.2500 0.1601
0.2500 0.2500 0.8399
0.4417 0.5583 0.6529
0.4417 0.9417 0.3471
0.5583 0.0583 0.6529
0.5583 0.4417 0.3471
0.7500 0.7500 0.1601
0.7500 0.7500 0.8399
0.9417 0.0583 0.3471
0.9417 0.4417 0.6529
```

---

# LiCr2S4
Computed powder diffractogram, Cu Ka. Input: a PBE-relaxed structure.
Kinematic intensities with the Lorentz-polarization factor, no thermal factor.

Peak list (10 most intense, 2θ from 5° to 70°, low angle first)
d 5.771, I = 92; d 3.014, I = 37; d 2.499, I = 100; d 2.293, I = 5; d 1.924, I = 25; d 1.767, I = 66; d 1.689, I = 16; d 1.524, I = 4; d 1.443, I = 19; d 1.400, I = 10

Cell and atoms:
```
LiCr2S4
1.0
0.0000 4.9975 4.9975
4.9975 0.0000 4.9975
4.9975 4.9975 0.0000
Li Cr S
2 4 8
Direct
0.1250 0.1250 0.1250
0.8750 0.8750 0.8750
0.0000 0.5000 0.5000
0.5000 0.0000 0.5000
0.5000 0.5000 0.0000
0.5000 0.5000 0.5000
0.2606 0.2606 0.2606
0.2606 0.2606 0.7182
0.2606 0.7182 0.2606
0.2818 0.7394 0.7394
0.7182 0.2606 0.2606
0.7394 0.2818 0.7394
0.7394 0.7394 0.2818
0.7394 0.7394 0.7394
```

---

# Eu3RuO7
Computed powder diffractogram, Cu Ka. Input: a PBE-relaxed structure.
Kinematic intensities with the Lorentz-polarization factor, no thermal factor.

Peak list (10 most intense, 2θ from 5° to 70°, low angle first)
d 3.335, I = 11; d 3.105, I = 100; d 3.066, I = 86; d 2.842, I = 12; d 2.713, I = 22; d 2.652, I = 42; d 1.895, I = 64; d 1.632, I = 11; d 1.611, I = 25; d 1.594, I = 15

Cell and atoms:
```
Eu3RuO7
1.0
5.4264 -3.7153 0.0000
5.4264 3.7153 0.0000
0.0000 0.0000 7.5713
Eu Ru O
6 2 14
Direct
0.0000 0.0000 0.0000
0.0000 0.0000 0.5000
0.0700 0.4759 0.7500
0.4759 0.0700 0.2500
0.5241 0.9300 0.7500
0.9300 0.5241 0.2500
0.5000 0.5000 0.0000
0.5000 0.5000 0.5000
0.1066 0.1584 0.2500
0.1584 0.1066 0.7500
0.1925 0.5578 0.0395
0.1925 0.5578 0.4605
0.4177 0.5823 0.7500
0.4422 0.8075 0.0395
0.4422 0.8075 0.4605
0.5578 0.1925 0.5395
0.5578 0.1925 0.9605
0.5823 0.4177 0.2500
0.8075 0.4422 0.5395
0.8075 0.4422 0.9605
0.8416 0.8934 0.2500
0.8934 0.8416 0.7500
```

---

# Ba2GaSbTe5
Computed powder diffractogram, Cu Ka. Input: a PBE-relaxed structure.
Kinematic intensities with the Lorentz-polarization factor, no thermal factor.

Peak list (10 most intense, 2θ from 5° to 70°, low angle first)
d 3.496, I = 20; d 3.387, I = 100; d 3.234, I = 43; d 3.163, I = 29; d 3.113, I = 17; d 2.802, I = 14; d 2.699, I = 14; d 2.446, I = 37; d 2.321, I = 13; d 1.951, I = 13

Cell and atoms:
```
Ba2GaSbTe5
1.0
13.6736 0.0000 0.0000
0.0000 9.7855 0.0000
0.0000 0.0000 9.9941
Ba Ga Sb Te
8 4 4 20
Direct
0.1741 0.0072 0.1222
0.1741 0.4928 0.1222
0.3259 0.5072 0.6222
0.3259 0.9928 0.6222
0.6741 0.0072 0.3778
0.6741 0.4928 0.3778
0.8259 0.5072 0.8778
0.8259 0.9928 0.8778
0.1000 0.7500 0.8352
0.4000 0.2500 0.3352
0.6000 0.7500 0.6648
0.9000 0.2500 0.1648
0.0288 0.7500 0.4829
0.4712 0.2500 0.9829
0.5288 0.7500 0.0171
0.9712 0.2500 0.5171
0.0102 0.2500 0.9524
0.0606 0.5346 0.6769
0.0606 0.9654 0.6769
0.2121 0.2500 0.3973
0.2245 0.7500 0.3812
0.2755 0.2500 0.8812
0.2879 0.7500 0.8973
0.4394 0.0346 0.1769
0.4394 0.4654 0.1769
0.4898 0.7500 0.4524
0.5102 0.2500 0.5476
0.5606 0.5346 0.8231
0.5606 0.9654 0.8231
0.7121 0.2500 0.1027
0.7245 0.7500 0.1188
0.7755 0.2500 0.6188
0.7879 0.7500 0.6027
0.9394 0.0346 0.3231
0.9394 0.4654 0.3231
0.9898 0.7500 0.0476
```

---

# InNi2
Computed powder diffractogram, Cu Ka. Input: a PBE-relaxed structure.
Kinematic intensities with the Lorentz-polarization factor, no thermal factor.

Peak list (10 most intense, 2θ from 5° to 70°, low angle first)
d 3.730, I = 5; d 3.041, I = 17; d 2.627, I = 13; d 2.154, I = 100; d 2.148, I = 79; d 1.758, I = 4; d 1.665, I = 20; d 1.585, I = 3; d 1.521, I = 25; d 1.362, I = 3

Cell and atoms:
```
InNi2
1.0
4.3074 0.0000 0.0000
-2.1537 3.7303 0.0000
0.0000 0.0000 5.2532
In Ni
2 4
Direct
0.3333 0.6667 0.2500
0.6667 0.3333 0.7500
0.0000 0.0000 0.0000
0.0000 0.0000 0.5000
0.3333 0.6667 0.7500
0.6667 0.3333 0.2500
```

---

# DyPt2
Computed powder diffractogram, Cu Ka. Input: a PBE-relaxed structure.
Kinematic intensities with the Lorentz-polarization factor, no thermal factor.

Peak list (9 most intense, 2θ from 5° to 70°, low angle first)
d 4.443, I = 11; d 2.720, I = 22; d 2.320, I = 100; d 2.221, I = 47; d 1.924, I = 8; d 1.765, I = 3; d 1.571, I = 8; d 1.481, I = 33; d 1.360, I = 30

Cell and atoms:
```
DyPt2
1.0
0.0000 3.8473 3.8473
3.8473 0.0000 3.8473
3.8473 3.8473 0.0000
Dy Pt
2 4
Direct
0.1250 0.1250 0.1250
0.8750 0.8750 0.8750
0.0000 0.5000 0.5000
0.5000 0.0000 0.5000
0.5000 0.5000 0.0000
0.5000 0.5000 0.5000
```